The following is a calculated X-ray powder pattern of Li3Mn4B4O12. It was derived from DFT lattice parameters and positions (PBE+U), using a wavelength of 1.5418 Å.

Largest 10 diffraction maxima, by angle, 15 to 90 degrees two-theta:
2theta  Rel. int.
20.26  100
20.77  28
22.06  52
22.61  79
33.96  69
34.09  98
37.81  29
39.95  29
40.58  66
50.82  27

Crystal structure
Unit cell a=6.1634 b=9.3753 c=9.6791 alpha=66.05 beta=80.23 gamma=83.09
Space group P-1 (No. 2)
Asymmetric unit:
Li 0.0243 0.3472 0.2835 x2
Li 0.4576 0.1278 0.7213 x2
Li 0.4672 0.6306 0.2176 x2
Mn 0.2359 0.9573 0.0578 x2
Mn 0.2422 0.4524 0.5507 x2
Mn 0.2538 0.0428 0.4531 x2
Mn 0.2543 0.5604 0.9465 x2
B 0.0887 0.2893 0.8786 x2
B 0.1019 0.7814 0.3950 x2
B 0.4118 0.2149 0.1146 x2
B 0.4244 0.7154 0.6142 x2
O 0.0054 0.1492 0.9864 x2
O 0.0086 0.4323 0.8860 x2
O 0.0140 0.6451 0.5067 x2
O 0.0332 0.9196 0.4141 x2
O 0.2582 0.2821 0.7676 x2
O 0.2584 0.7783 0.2760 x2
O 0.2619 0.7252 0.7243 x2
O 0.2754 0.2202 0.2392 x2
O 0.4806 0.3535 0.9935 x2
O 0.4838 0.0721 0.1002 x2
O 0.4942 0.1448 0.5076 x2
O 0.4996 0.4276 0.3935 x2